Record 1
For CsNpBeSe3, a GGA-PBE-relaxed structure gives the computed XRD peak list in this record (Cu Kα).
Intensities are scaled so that the largest is 100.

Principal peaks in the range 2θ from 10° to 80°, low angle first:
| 2θ (°) | I/Imax |
| --- | --- |
| 10.68 | 69 |
| 19.19 | 31 |
| 23.83 | 24 |
| 28.33 | 100 |
| 28.99 | 34 |
| 29.17 | 29 |
| 35.82 | 29 |
| 36.31 | 32 |
| 42.75 | 34 |
| 46.75 | 24 |

Atomic structure:
a b c (Å): 9.974 4.082 9.995
angles (deg): 90.00 112.13 90.00
Fractional coordinates of all 12 atoms:
Cs 0.243 0.250 0.212
Cs 0.757 0.750 0.788
Np 0.148 0.250 0.670
Np 0.852 0.750 0.330
Be 0.393 0.750 0.922
Be 0.607 0.250 0.078
Se 0.159 0.750 0.880
Se 0.162 0.750 0.473
Se 0.466 0.250 0.839
Se 0.534 0.750 0.161
Se 0.838 0.250 0.527
Se 0.841 0.250 0.120

---

Record 2
For Cs2Pu3Te6, a GGA-PBE-relaxed structure gives the computed XRD peak list in this record (Cu Kα).
Intensities are scaled so that the largest is 100.

Principal peaks in the range 2θ from 10° to 80°, low angle first:
| 2θ (°) | I/Imax |
| --- | --- |
| 26.27 | 100 |
| 32.44 | 25 |
| 34.92 | 32 |
| 39.93 | 38 |
| 41.20 | 13 |
| 43.21 | 15 |
| 48.43 | 19 |
| 54.07 | 9 |
| 64.51 | 16 |
| 75.59 | 9 |

Atomic structure:
a b c (Å): 7.821 7.821 9.457
angles (deg): 97.93 97.93 120.01
Fractional coordinates of all 11 atoms:
Cs 0.167 0.833 0.000
Cs 0.833 0.167 0.000
Pu 0.000 0.000 0.500
Pu 0.333 0.667 0.500
Pu 0.667 0.333 0.500
Te 0.063 0.395 0.686
Te 0.273 0.273 0.315
Te 0.395 0.063 0.686
Te 0.605 0.937 0.314
Te 0.727 0.727 0.685
Te 0.937 0.605 0.314

---

Record 3
For V2FeRh3, a GGA-PBE-relaxed structure gives the computed XRD peak list in this record (Cu Kα).
Intensities are scaled so that the largest is 100.

Principal peaks in the range 2θ from 10° to 80°, low angle first:
| 2θ (°) | I/Imax |
| --- | --- |
| 24.51 | 11 |
| 32.93 | 11 |
| 41.47 | 100 |
| 47.03 | 17 |
| 47.48 | 17 |
| 50.24 | 14 |
| 61.38 | 4 |
| 69.05 | 10 |
| 71.26 | 9 |
| 71.61 | 9 |

Atomic structure:
a b c (Å): 3.830 11.594 3.632
angles (deg): 90.00 90.00 90.00
Fractional coordinates of all 12 atoms:
V 0.000 0.160 0.000
V 0.000 0.840 0.000
V 0.500 0.340 0.000
V 0.500 0.660 0.000
Fe 0.000 0.500 0.000
Fe 0.500 0.000 0.000
Rh 0.000 0.000 0.500
Rh 0.000 0.334 0.500
Rh 0.000 0.666 0.500
Rh 0.500 0.166 0.500
Rh 0.500 0.500 0.500
Rh 0.500 0.834 0.500

---

Record 4
For Al6Pt7, a GGA-PBE-relaxed structure gives the computed XRD peak list in this record (Cu Kα).
Intensities are scaled so that the largest is 100.

Principal peaks in the range 2θ from 10° to 80°, low angle first:
| 2θ (°) | I/Imax |
| --- | --- |
| 19.40 | 100 |
| 29.25 | 15 |
| 38.99 | 53 |
| 39.40 | 41 |
| 42.32 | 29 |
| 45.45 | 47 |
| 47.30 | 23 |
| 61.96 | 15 |
| 70.35 | 15 |
| 77.90 | 14 |

Atomic structure:
a b c (Å): 9.666 9.666 9.666
angles (deg): 32.15 32.15 32.15
Fractional coordinates of all 13 atoms:
Al 0.080 0.080 0.080
Al 0.183 0.183 0.183
Al 0.332 0.332 0.332
Al 0.668 0.668 0.668
Al 0.817 0.817 0.817
Al 0.920 0.920 0.920
Pt 0.078 0.572 0.572
Pt 0.428 0.428 0.922
Pt 0.428 0.922 0.428
Pt 0.500 0.500 0.500
Pt 0.572 0.078 0.572
Pt 0.572 0.572 0.078
Pt 0.922 0.428 0.428

---

Record 5
For Rb4BrO12, a GGA-PBE-relaxed structure gives the computed XRD peak list in this record (Cu Kα).
Intensities are scaled so that the largest is 100.

Principal peaks in the range 2θ from 10° to 80°, low angle first:
| 2θ (°) | I/Imax |
| --- | --- |
| 19.90 | 9 |
| 28.28 | 100 |
| 31.70 | 8 |
| 34.82 | 10 |
| 37.71 | 9 |
| 40.43 | 14 |
| 45.45 | 20 |
| 50.07 | 26 |
| 62.43 | 9 |
| 66.23 | 12 |

Atomic structure:
a b c (Å): 7.729 7.729 7.729
angles (deg): 109.47 109.47 109.47
Fractional coordinates of all 17 atoms:
Rb 0.000 0.000 0.500
Rb 0.000 0.500 0.000
Rb 0.500 0.000 0.000
Rb 0.500 0.500 0.500
Br 0.000 0.000 0.000
O 0.116 0.428 0.544
O 0.116 0.572 0.688
O 0.312 0.884 0.428
O 0.428 0.312 0.884
O 0.428 0.544 0.116
O 0.456 0.884 0.572
O 0.544 0.116 0.428
O 0.572 0.456 0.884
O 0.572 0.688 0.116
O 0.688 0.116 0.572
O 0.884 0.428 0.312
O 0.884 0.572 0.456

---

Record 6
For La15CeDy4, a GGA-PBE-relaxed structure gives the computed XRD peak list in this record (Cu Kα).
Intensities are scaled so that the largest is 100.

Principal peaks in the range 2θ from 10° to 80°, low angle first:
| 2θ (°) | I/Imax |
| --- | --- |
| 29.70 | 100 |
| 34.43 | 51 |
| 49.48 | 36 |
| 58.78 | 43 |
| 61.67 | 12 |
| 72.58 | 6 |

Atomic structure:
a b c (Å): 5.210 5.210 26.052
angles (deg): 90.00 90.00 90.00
Fractional coordinates of all 20 atoms:
La 0.000 0.000 0.000
La 0.000 0.000 0.200
La 0.000 0.000 0.400
La 0.000 0.000 0.600
La 0.000 0.000 0.800
La 0.000 0.500 0.098
La 0.000 0.500 0.299
La 0.000 0.500 0.500
La 0.000 0.500 0.701
La 0.000 0.500 0.902
La 0.500 0.000 0.098
La 0.500 0.000 0.299
La 0.500 0.000 0.500
La 0.500 0.000 0.701
La 0.500 0.000 0.902
Ce 0.500 0.500 0.000
Dy 0.500 0.500 0.200
Dy 0.500 0.500 0.400
Dy 0.500 0.500 0.600
Dy 0.500 0.500 0.800

---

Record 7
For Rb2PdF4, a GGA-PBE-relaxed structure gives the computed XRD peak list in this record (Cu Kα).
Intensities are scaled so that the largest is 100.

Principal peaks in the range 2θ from 10° to 80°, low angle first:
| 2θ (°) | I/Imax |
| --- | --- |
| 13.82 | 66 |
| 27.39 | 26 |
| 27.86 | 34 |
| 30.81 | 100 |
| 36.78 | 15 |
| 39.47 | 11 |
| 39.80 | 37 |
| 51.16 | 44 |
| 64.18 | 17 |
| 66.71 | 12 |

Atomic structure:
a b c (Å): 6.406 6.406 3.781
angles (deg): 90.00 90.00 90.00
Fractional coordinates of all 7 atoms:
Rb 0.000 0.500 0.000
Rb 0.500 0.000 0.000
Pd 0.000 0.000 0.500
F 0.221 0.221 0.500
F 0.221 0.779 0.500
F 0.779 0.221 0.500
F 0.779 0.779 0.500

---

Record 8
For UAl4Co, a GGA-PBE-relaxed structure gives the computed XRD peak list in this record (Cu Kα).
Intensities are scaled so that the largest is 100.

Principal peaks in the range 2θ from 10° to 80°, low angle first:
| 2θ (°) | I/Imax |
| --- | --- |
| 19.43 | 86 |
| 21.67 | 75 |
| 22.47 | 52 |
| 29.27 | 88 |
| 31.42 | 65 |
| 37.21 | 100 |
| 40.67 | 67 |
| 41.14 | 90 |
| 46.96 | 57 |
| 61.94 | 56 |

Atomic structure:
a b c (Å): 9.136 9.136 4.101
angles (deg): 90.00 90.00 120.00
Fractional coordinates of all 18 atoms:
U 0.000 0.409 0.000
U 0.409 0.000 0.000
U 0.591 0.591 0.000
Al 0.000 0.169 0.500
Al 0.000 0.743 0.000
Al 0.169 0.000 0.500
Al 0.184 0.704 0.500
Al 0.257 0.257 0.000
Al 0.296 0.480 0.500
Al 0.480 0.296 0.500
Al 0.520 0.816 0.500
Al 0.704 0.184 0.500
Al 0.743 0.000 0.000
Al 0.816 0.520 0.500
Al 0.831 0.831 0.500
Co 0.000 0.000 0.000
Co 0.333 0.667 0.000
Co 0.667 0.333 0.000